[1]
# PuMgAl2Si2
Theoretical powder X-ray diffraction pattern, Cu Kα, 1.54184 Å. Input: DFT lattice parameters and positions (PBE).
Intensities are scaled so that the largest is 100.

Cell and atoms:
```
PuMgAl2Si2
1.0
4.4612 0.0000 0.0000
-2.2306 3.8635 0.0000
0.0000 0.0000 6.2296
Pu Mg Al Si
1 1 2 2
direct
0.0000 0.0000 0.0000
0.0000 0.0000 0.5000
0.3333 0.6667 0.7075
0.6667 0.3333 0.2925
0.3333 0.6667 0.2698
0.6667 0.3333 0.7302
```

Peak list (10 most intense, 10° ≤ 2θ ≤ 90°, by angle)
| 2θ (°) | I_rel |
| --- | --- |
| 14.22 | 51 |
| 23.02 | 63 |
| 27.16 | 100 |
| 37.07 | 91 |
| 40.44 | 51 |
| 43.07 | 22 |
| 49.39 | 20 |
| 56.02 | 28 |
| 65.67 | 18 |
| 71.33 | 27 |

---

[2]
# TmPuMgAl
Theoretical powder X-ray diffraction pattern, Cu Kα, 1.54184 Å. Input: DFT lattice parameters and positions (PBE).
Intensities are scaled so that the largest is 100.

Cell and atoms:
```
TmPuMgAl
1.0
7.3054 0.0000 0.0000
0.0000 7.3054 0.0000
0.0000 0.0000 7.3054
Tm Pu Mg Al
4 4 4 4
direct
0.0000 0.0000 0.0000
0.0000 0.5000 0.5000
0.5000 0.0000 0.5000
0.5000 0.5000 0.0000
0.0000 0.0000 0.5000
0.0000 0.5000 0.0000
0.5000 0.0000 0.0000
0.5000 0.5000 0.5000
0.2500 0.2500 0.7500
0.2500 0.7500 0.2500
0.7500 0.2500 0.2500
0.7500 0.7500 0.7500
0.2500 0.2500 0.2500
0.2500 0.7500 0.7500
0.7500 0.2500 0.7500
0.7500 0.7500 0.2500
```

Peak list (10 most intense, 10° ≤ 2θ ≤ 90°, by angle)
| 2θ (°) | I_rel |
| --- | --- |
| 24.37 | 71 |
| 34.73 | 100 |
| 42.88 | 22 |
| 49.94 | 18 |
| 56.32 | 31 |
| 62.26 | 38 |
| 73.30 | 12 |
| 78.57 | 15 |
| 83.74 | 17 |
| 88.85 | 9 |

---

[3]
# RbMg16Al12
Theoretical powder X-ray diffraction pattern, Cu Kα, 1.54184 Å. Input: DFT lattice parameters and positions (PBE).
Intensities are scaled so that the largest is 100.

Cell and atoms:
```
RbMg16Al12
1.0
7.5551 4.3619 3.0731
-7.5551 4.3619 3.0731
0.0000 -8.7239 3.0731
Rb Mg Al
1 16 12
direct
0.0000 0.0000 0.0000
0.0603 0.0603 0.6599
0.0603 0.6599 0.0603
0.0839 0.7543 0.7543
0.3723 0.6906 0.9770
0.3723 0.9770 0.6906
0.3770 0.3770 0.3770
0.3770 0.3770 0.7226
0.3770 0.7226 0.3770
0.6599 0.0603 0.0603
0.6906 0.3723 0.9770
0.6906 0.9770 0.3723
0.7226 0.3770 0.3770
0.7543 0.0839 0.7543
0.7543 0.7543 0.0839
0.9770 0.3723 0.6906
0.9770 0.6906 0.3723
0.0129 0.1952 0.3855
0.0129 0.3855 0.1952
0.1952 0.0129 0.3855
0.1952 0.3855 0.0129
0.1955 0.5591 0.5591
0.3855 0.0129 0.1952
0.3855 0.1952 0.0129
0.5491 0.7355 0.7355
0.5591 0.1955 0.5591
0.5591 0.5591 0.1955
0.7355 0.5491 0.7355
0.7355 0.7355 0.5491
```

Peak list (10 most intense, 10° ≤ 2θ ≤ 90°, by angle)
| 2θ (°) | I_rel |
| --- | --- |
| 11.72 | 9 |
| 20.38 | 5 |
| 26.41 | 6 |
| 35.70 | 100 |
| 39.58 | 18 |
| 39.71 | 6 |
| 41.42 | 10 |
| 43.20 | 7 |
| 64.08 | 16 |
| 64.18 | 9 |

---

[4]
# Rb2MgAlTe4
Theoretical powder X-ray diffraction pattern, Cu Kα, 1.54184 Å. Input: DFT lattice parameters and positions (PBE).
Intensities are scaled so that the largest is 100.

Cell and atoms:
```
Rb2MgAlTe4
1.0
8.7855 0.0000 0.0000
0.0000 8.7855 0.0000
0.0000 0.0000 7.5529
Rb Mg Al Te
4 2 2 8
direct
0.0000 0.5000 0.0000
0.0000 0.5000 0.5000
0.5000 0.0000 0.0000
0.5000 0.0000 0.5000
0.0000 0.0000 0.0000
0.5000 0.5000 0.5000
0.0000 0.0000 0.5000
0.5000 0.5000 0.0000
0.1612 0.1612 0.2669
0.1612 0.8388 0.7331
0.3388 0.3388 0.7669
0.3388 0.6612 0.2331
0.6612 0.3388 0.2331
0.6612 0.6612 0.7669
0.8388 0.1612 0.7331
0.8388 0.8388 0.2669
```

Peak list (10 most intense, 10° ≤ 2θ ≤ 90°, by angle)
| 2θ (°) | I_rel |
| --- | --- |
| 25.56 | 100 |
| 27.64 | 21 |
| 28.74 | 14 |
| 31.23 | 41 |
| 32.22 | 28 |
| 42.65 | 23 |
| 44.16 | 18 |
| 47.91 | 17 |
| 50.25 | 20 |
| 57.82 | 12 |

---

[5]
# Mg2Al3Rh
Theoretical powder X-ray diffraction pattern, Cu Kα, 1.54184 Å. Input: DFT lattice parameters and positions (PBE).
Intensities are scaled so that the largest is 100.

Cell and atoms:
```
Mg2Al3Rh
1.0
8.9104 0.0000 0.0000
0.0000 5.3097 0.0000
-2.8581 0.0000 4.3041
Mg Al Rh
4 6 2
direct
0.1279 0.0000 0.3714
0.3721 0.5000 0.6286
0.6279 0.5000 0.3714
0.8721 0.0000 0.6286
0.0000 0.5000 0.5000
0.2500 0.2500 0.0000
0.2500 0.7500 0.0000
0.5000 0.0000 0.5000
0.7500 0.2500 0.0000
0.7500 0.7500 0.0000
0.0000 0.5000 0.0000
0.5000 0.0000 0.0000
```

Peak list (10 most intense, 10° ≤ 2θ ≤ 90°, by angle)
| 2θ (°) | I_rel |
| --- | --- |
| 20.59 | 100 |
| 24.02 | 42 |
| 33.79 | 50 |
| 40.23 | 71 |
| 40.36 | 35 |
| 40.95 | 16 |
| 41.06 | 31 |
| 41.84 | 37 |
| 41.98 | 18 |
| 43.32 | 18 |

---

[6]
# Mg17Al11Rh
Theoretical powder X-ray diffraction pattern, Cu Kα, 1.54184 Å. Input: DFT lattice parameters and positions (PBE).
Intensities are scaled so that the largest is 100.

Cell and atoms:
```
Mg17Al11Rh
1.0
5.2220 -7.4668 0.0000
5.2220 7.4668 0.0000
-5.0538 0.0000 7.3037
Mg Al Rh
17 11 1
direct
0.0000 0.0000 0.0000
0.0011 0.5965 0.3177
0.0018 0.3340 0.9930
0.0034 0.3147 0.6151
0.0061 0.0061 0.3658
0.2860 0.6808 0.6887
0.3138 0.5982 0.0038
0.3147 0.0034 0.6151
0.3340 0.0018 0.9930
0.3858 0.3858 0.7237
0.4018 0.7173 0.4044
0.5965 0.0011 0.3177
0.5982 0.3138 0.0038
0.6466 0.6466 0.6577
0.6795 0.6795 0.2882
0.6808 0.2860 0.6887
0.7173 0.4018 0.4044
0.0003 0.8191 0.6383
0.1870 0.3696 0.3704
0.1868 0.8244 0.1932
0.3566 0.3566 0.1575
0.3696 0.1870 0.3704
0.6298 0.9967 0.8161
0.6382 0.8163 0.0096
0.8163 0.6382 0.0096
0.8191 0.0003 0.6383
0.8244 0.1868 0.1932
0.9967 0.6298 0.8161
0.1660 0.1660 0.8107
```

Peak list (10 most intense, 10° ≤ 2θ ≤ 90°, by angle)
| 2θ (°) | I_rel |
| --- | --- |
| 11.87 | 52 |
| 12.10 | 38 |
| 20.77 | 28 |
| 34.35 | 22 |
| 36.23 | 75 |
| 36.48 | 100 |
| 36.84 | 94 |
| 40.16 | 34 |
| 40.33 | 42 |
| 41.25 | 27 |